# 1
The following is a theoretical powder diffraction line list of ErCu2Si. It was derived from a crystal structure in Alexandria, relaxed with PBE, using Cu Kα.
Intensities are scaled so that the largest is 100.

The 12 most intense peaks (2θ = 10–90°), by angle:
2θ (°)	Rel. int.	(hkl)
26.2	100	1 0 1
36.2	98	1 0 4
38.4	16	0 0 6
41.1	75	0 1 5
44.7	87	1 1 0
58.8	29	0 2 4
60.4	26	1 1 6
62.4	21	2 0 5
72.4	18	1 0 10
76.8	24	2 1 4
77.1	16	1 1 9
80.0	20	1 2 5

Atomic structure:
a = 4.0526 Å, b = 4.0526 Å, c = 14.0608 Å
α = 90.00°, β = 90.00°, γ = 120.00°
Space group R-3m (No. 166, hexagonal axes)
One atom of each set of equivalent atoms:
Er1 0.0000 0.0000 0.0000 (multiplicity 3)
Cu1 0.0000 0.0000 0.2074 (multiplicity 6)
Si1 0.0000 0.0000 0.5000 (multiplicity 3)

=====

# 2
The following is a theoretical powder diffraction line list of Er3CuSi3. It was derived from a crystal structure in Alexandria, relaxed with PBE, using Cu Kα.
Intensities are scaled so that the largest is 100.

The 12 most intense peaks (2θ = 10–90°), by angle:
2θ (°)	Rel. int.	(hkl)
23.1	73	1 1 0
26.9	39	2 0 2
27.8	46	2 0 -4
33.7	100	1 1 3
33.8	53	3 1 -1
34.0	53	3 1 -2
34.1	84	1 1 -4
34.8	44	4 0 -2
41.7	59	3 1 2
43.2	53	0 2 0
56.6	37	4 2 -2
59.6	28	3 1 -8

Atomic structure:
a = 10.328 Å, b = 4.191 Å, c = 13.490 Å
α = 90.00°, β = 110.57°, γ = 90.00°
Space group C2/m (No. 12)
One atom of each set of equivalent atoms:
Er1 0.031 0.000 0.379 (multiplicity 4)
Er2 0.104 0.000 0.923 (multiplicity 4)
Er3 0.245 0.000 0.224 (multiplicity 4)
Cu1 0.244 0.500 0.399 (multiplicity 4)
Si1 0.039 0.500 0.231 (multiplicity 4)
Si2 0.113 0.500 0.076 (multiplicity 4)
Si3 0.131 0.500 0.545 (multiplicity 4)